For EuB4O7, a GGA-PBE-relaxed structure gives the simulated X-ray diffraction stick pattern in this record (Cu Kα, 1.54184 Å).

Top 10 peaks for 5° ≤ 2θ ≤ 70°, by angle:
d/Å, intensity
5.421, 49
4.133, 56
3.980, 57
3.091, 42
2.811, 48
2.761, 53
2.685, 100
2.038, 56
1.950, 32
1.900, 34

Atomic structure:
Cell lengths 10.8411, 4.4712, 4.2785 Å; angles 90.00, 90.00, 90.00 degrees
Atoms (fractional coordinates):
Eu 0.0000 0.2104 0.0000
Eu 0.5000 0.7896 0.5000
B 0.1216 0.6740 0.5216
B 0.2488 0.8226 0.9959
B 0.2512 0.1774 0.4959
B 0.3784 0.3260 0.0216
B 0.6216 0.3260 0.0216
B 0.7488 0.1774 0.4959
B 0.7512 0.8226 0.9959
B 0.8784 0.6740 0.5216
O 0.0000 0.7688 0.4148
O 0.1356 0.7295 0.8561
O 0.1422 0.3578 0.4513
O 0.2211 0.8693 0.3521
O 0.2789 0.1307 0.8521
O 0.3578 0.6422 0.9513
O 0.3644 0.2705 0.3561
O 0.5000 0.2312 0.9148
O 0.6356 0.2705 0.3561
O 0.6422 0.6422 0.9513
O 0.7211 0.1307 0.8521
O 0.7789 0.8693 0.3521
O 0.8578 0.3578 0.4513
O 0.8644 0.7295 0.8561

---

For EuB3O6, a GGA-PBE-relaxed structure gives the simulated X-ray diffraction stick pattern in this record (Cu Kα, 1.54184 Å).

Top 10 peaks for 5° ≤ 2θ ≤ 70°, by angle:
d/Å, intensity
5.092, 100
4.223, 59
3.974, 35
3.191, 38
3.133, 69
2.894, 73
2.161, 47
2.144, 49
2.063, 30
1.851, 33

Atomic structure:
Cell lengths 6.6157, 6.6157, 6.3815 Å; angles 118.78, 118.78, 79.33 degrees
Atoms (fractional coordinates):
Eu 0.2490 0.7510 0.7500
Eu 0.7510 0.2490 0.2500
B 0.1818 0.3192 0.8913
B 0.2494 0.7506 0.2500
B 0.3192 0.1818 0.3913
B 0.6808 0.8182 0.6087
B 0.7506 0.2494 0.7500
B 0.8182 0.6808 0.1087
O 0.0508 0.7488 0.2942
O 0.1664 0.3356 0.4480
O 0.2473 0.5525 0.0057
O 0.2512 0.9492 0.2058
O 0.3356 0.1664 0.9480
O 0.4475 0.7527 0.4943
O 0.5525 0.2473 0.5057
O 0.6644 0.8336 0.0520
O 0.7488 0.0508 0.7942
O 0.7527 0.4475 0.9943
O 0.8336 0.6644 0.5520
O 0.9492 0.2512 0.7058